Starting from the GGA-PBE geometry in OQMD, the PXRD pattern of GdLuNb2Si2 was computed for Cu Kα X-rays.

Structural model:
Cell: 3.998 3.998 7.736 Å, 90.00 90.00 90.00°
Fractional positions:
Gd (0.000, 0.000, 0.000)
Lu (0.500, 0.500, 0.707)
Nb (0.000, 0.500, 0.359)
Nb (0.500, 0.000, 0.359)
Si (0.000, 0.000, 0.600)
Si (0.500, 0.500, 0.117)

Main lines, in order of rising 2θ (10 to 90 degrees two-theta):
d [Å], 2θ (°), intensity
3.552, 25.1, 58.0
2.780, 32.2, 78.4
2.655, 33.8, 100.0
2.579, 34.8, 36.5
2.283, 39.5, 49.1
1.999, 45.4, 48.3
1.742, 52.5, 22.7
1.623, 56.7, 31.6
1.596, 57.8, 24.6
1.580, 58.4, 32.5


Starting from the GGA-PBE geometry in OQMD, the PXRD pattern of GdLu2O4 was computed for Cu Kα X-rays.

Structural model:
Cell: 6.656 6.656 6.656 Å, 60.00 60.00 60.00°
Fractional positions:
Gd (0.125, 0.125, 0.125)
Gd (0.875, 0.875, 0.875)
Lu (0.000, 0.500, 0.500)
Lu (0.500, 0.000, 0.500)
Lu (0.500, 0.500, 0.000)
Lu (0.500, 0.500, 0.500)
O (0.262, 0.262, 0.262)
O (0.262, 0.262, 0.713)
O (0.262, 0.713, 0.262)
O (0.287, 0.738, 0.738)
O (0.713, 0.262, 0.262)
O (0.738, 0.287, 0.738)
O (0.738, 0.738, 0.287)
O (0.738, 0.738, 0.738)

Main lines, in order of rising 2θ (10 to 90 degrees two-theta):
d [Å], 2θ (°), intensity
5.435, 16.3, 10.7
3.328, 26.8, 23.8
2.838, 31.5, 100.0
2.717, 33.0, 29.8
2.353, 38.2, 12.2
1.812, 50.4, 38.8
1.664, 55.2, 40.2
1.435, 65.0, 12.9
1.419, 65.8, 14.4
1.225, 78.0, 22.2